# 1
Starting from a crystal structure in Alexandria, relaxed with PBE, the X-ray powder pattern of Fe6Ni23Os was simulated for Cu Kα.

Principal peaks in the range 2θ from 10° to 90°, sorted by position:
d [Å]  Position (°2θ)  I/Imax
3.222  27.7  59
2.496  36.0  129
2.148  42.1  66
1.973  46.0  1000
1.860  49.0  45
1.395  67.1  134
1.354  69.4  43
1.139  85.2  249

Structure:
abc: 11.1615 11.1615 11.1615
angles: 90.00 90.00 90.00
Space group Fm-3m (No. 225)
Unique sites:
Fe (0.0000, 0.0000, 0.2394) x24
Ni (0.0000, 0.0000, 0.5000) x4
Ni (0.0000, 0.2500, 0.2500) x24
Ni (0.1261, 0.1261, 0.3739) x32
Ni (0.1419, 0.1419, 0.1419) x32
Os (0.0000, 0.0000, 0.0000) x4

***

# 2
Starting from a crystal structure in Alexandria, relaxed with PBE, the X-ray powder pattern of Fe2NiOs was simulated for Cu Kα.

Principal peaks in the range 2θ from 10° to 90°, sorted by position:
d [Å]  Position (°2θ)  I/Imax
8.283  10.7  928
4.141  21.5  206
2.137  42.3  1000
2.070  43.7  426
1.836  49.7  616
1.314  71.8  197
1.283  73.9  177
1.109  88.0  250

Structure:
abc: 2.6280 2.6280 24.8478
angles: 90.00 90.00 120.00
Space group R3m (No. 160, hexagonal axes)
Unique sites:
Fe (0.0000, 0.0000, 0.0000) x3
Fe (0.0000, 0.0000, 0.2507) x3
Ni (0.0000, 0.0000, 0.7463) x3
Os (0.0000, 0.0000, 0.5008) x3

***

# 3
Starting from a crystal structure in Alexandria, relaxed with PBE, the X-ray powder pattern of FeNiP was simulated for Cu Kα.

Principal peaks in the range 2θ from 10° to 90°, sorted by position:
d [Å]  Position (°2θ)  I/Imax
2.589  34.7  1000
2.462  36.5  195
2.298  39.2  185
2.094  43.2  765
1.905  47.7  948
1.578  58.5  154
1.522  60.9  512
1.189  80.8  181

Structure:
abc: 3.0433 3.0433 13.7887
angles: 90.00 90.00 120.00
Space group R3m (No. 160, hexagonal axes)
Unique sites:
Fe (0.0000, 0.0000, 0.0000) x3
Ni (0.0000, 0.0000, 0.8081) x3
P (0.0000, 0.0000, 0.2361) x3

***

# 4
Starting from a crystal structure in Alexandria, relaxed with PBE, the X-ray powder pattern of Fe3Ni3P2 was simulated for Cu Kα.

Principal peaks in the range 2θ from 10° to 90°, sorted by position:
d [Å]  Position (°2θ)  I/Imax
2.478  36.3  221
2.170  41.6  1000
2.118  42.7  269
2.083  43.4  544
2.012  45.1  192
1.954  46.5  847
1.812  50.4  210
1.742  52.5  323

Structure:
abc: 12.6978 4.4102 8.9735
angles: 90.00 134.87 90.00
Space group C2 (No. 5)
Unique sites:
Fe (0.0337, 0.0000, 0.1707) x4
Fe (0.0757, 0.2053, 0.6837) x4
Fe (0.1063, 0.7471, 0.5285) x4
Ni (0.1367, 0.4550, 0.1053) x4
Ni (0.1689, 0.7241, 0.8884) x4
Ni (0.2198, 0.2302, 0.5512) x4
P (0.0483, 0.4938, 0.2581) x4
P (0.2082, 0.9599, 0.1582) x4

***

# 5
Starting from a crystal structure in Alexandria, relaxed with PBE, the X-ray powder pattern of Fe2NiP was simulated for Cu Kα.

Principal peaks in the range 2θ from 10° to 90°, sorted by position:
d [Å]  Position (°2θ)  I/Imax
2.166  41.7  1000
2.118  42.7  300
2.069  43.7  528
2.009  45.1  362
1.951  46.6  965
1.802  50.7  241
1.734  52.8  283
1.259  75.5  265

Structure:
abc: 8.9853 8.9853 4.3769
angles: 90.00 90.00 90.00
Space group I-4 (No. 82)
Unique sites:
Fe (0.0295, 0.3613, 0.0161) x8
Fe (0.0788, 0.8933, 0.2295) x8
Ni (0.1744, 0.7810, 0.7473) x8
P (0.0434, 0.2917, 0.5136) x8

***

# 6
Starting from a crystal structure in Alexandria, relaxed with PBE, the X-ray powder pattern of Fe2NiP was simulated for Cu Kα.

Principal peaks in the range 2θ from 10° to 90°, sorted by position:
d [Å]  Position (°2θ)  I/Imax
2.179  41.4  1000
2.130  42.4  308
2.084  43.4  578
2.021  44.8  380
1.963  46.3  987
1.815  50.3  229
1.746  52.4  262
1.268  74.9  259

Structure:
abc: 9.0384 9.0384 4.4094
angles: 90.00 90.00 90.00
Space group I-4 (No. 82)
Unique sites:
Fe (0.0790, 0.1059, 0.2259) x8
Fe (0.1747, 0.2182, 0.7486) x8
Ni (0.0292, 0.6362, 0.0190) x8
P (0.0419, 0.7112, 0.5168) x8

***

# 7
Starting from a crystal structure in Alexandria, relaxed with PBE, the X-ray powder pattern of TmFeNiP2 was simulated for Cu Kα.

Principal peaks in the range 2θ from 10° to 90°, sorted by position:
d [Å]  Position (°2θ)  I/Imax
3.545  25.1  523
2.427  37.0  569
2.346  38.4  1000
1.913  47.5  386
1.690  54.3  190
1.503  61.7  254
1.358  69.2  165
1.172  82.2  272

Structure:
abc: 3.8264 3.8264 9.4191
angles: 90.00 90.00 90.00
Space group I-4m2 (No. 119)
Unique sites:
Tm (0.0000, 0.0000, 0.0000) x2
Fe (0.0000, 0.5000, 0.2500) x2
Ni (0.0000, 0.5000, 0.7500) x2
P (0.0000, 0.0000, 0.3758) x4

***

# 8
Starting from a crystal structure in Alexandria, relaxed with PBE, the X-ray powder pattern of YFeNiP2 was simulated for Cu Kα.

Principal peaks in the range 2θ from 10° to 90°, sorted by position:
d [Å]  Position (°2θ)  I/Imax
3.573  24.9  146
2.454  36.6  442
2.366  38.0  1000
1.926  47.2  433
1.711  53.6  135
1.515  61.2  186
1.374  68.2  169
1.180  81.5  192

Structure:
abc: 3.8524 3.8524 9.5496
angles: 90.00 90.00 90.00
Space group I-4m2 (No. 119)
Unique sites:
Y (0.0000, 0.0000, 0.0000) x2
Fe (0.0000, 0.5000, 0.2500) x2
Ni (0.0000, 0.5000, 0.7500) x2
P (0.0000, 0.0000, 0.3736) x4

***

# 9
Starting from a crystal structure in Alexandria, relaxed with PBE, the X-ray powder pattern of Pa3Fe2Ni7 was simulated for Cu Kα.

Principal peaks in the range 2θ from 10° to 90°, sorted by position:
d [Å]  Position (°2θ)  I/Imax
4.164  21.3  327
2.726  32.9  537
2.510  35.8  409
2.439  36.9  482
2.104  43.0  1000
2.000  45.3  179
1.457  63.9  167
1.421  65.7  202

Structure:
abc: 4.8772 4.8772 24.9735
angles: 90.00 90.00 120.00
Space group R-3m (No. 166, hexagonal axes)
Unique sites:
Pa (0.0000, 0.0000, 0.0000) x3
Pa (0.0000, 0.0000, 0.1387) x6
Fe (0.0000, 0.0000, 0.3328) x6
Ni (0.0000, 0.0000, 0.5000) x3
Ni (0.9998, 0.4999, 0.0828) x18

***

# 10
Starting from a crystal structure in Alexandria, relaxed with PBE, the X-ray powder pattern of Pa2FeSi3Ni12 was simulated for Cu Kα.

Principal peaks in the range 2θ from 10° to 90°, sorted by position:
d [Å]  Position (°2θ)  I/Imax
6.184  14.3  239
4.008  22.2  350
2.887  31.0  635
2.082  43.5  1000
2.061  43.9  250
2.001  45.3  544
1.847  49.3  259
1.443  64.6  253

Structure:
abc: 8.3266 8.3266 12.0234
angles: 90.00 90.00 120.00
Space group R-3m (No. 166, hexagonal axes)
Unique sites:
Pa (0.0000, 0.0000, 0.1678) x6
Fe (0.0000, 0.0000, 0.5000) x3
Si (0.0000, 0.5000, 0.0000) x9
Ni (0.0043, 0.5022, 0.1972) x18
Ni (0.0115, 0.5057, 0.3933) x18

***

# 11
Starting from a crystal structure in Alexandria, relaxed with PBE, the X-ray powder pattern of PaFe2Si2Ni was simulated for Cu Kα.

Principal peaks in the range 2θ from 10° to 90°, sorted by position:
d [Å]  Position (°2θ)  I/Imax
4.294  20.7  513
3.270  27.3  399
3.036  29.4  949
2.601  34.5  529
2.175  41.5  1000
2.147  42.1  629
1.528  60.6  639
1.518  61.0  204

Structure:
abc: 4.2936 4.2936 5.0442
angles: 90.00 90.00 90.00
Space group P4/mmm (No. 123)
Unique sites:
Pa (0.0000, 0.0000, 0.0000) x1
Fe (0.5000, 0.5000, 0.2347) x2
Si (0.0000, 0.5000, 0.5000) x2
Ni (0.0000, 0.0000, 0.5000) x1

***

# 12
Starting from a crystal structure in Alexandria, relaxed with PBE, the X-ray powder pattern of Fe5Ni2Pd4 was simulated for Cu Kα.

Principal peaks in the range 2θ from 10° to 90°, sorted by position:
d [Å]  Position (°2θ)  I/Imax
2.245  40.2  439
2.140  42.2  885
2.129  42.5  1000
2.104  43.0  694
2.091  43.3  980
2.066  43.8  967
2.048  44.2  484
1.977  45.9  512

Structure:
abc: 6.5138 2.6362 8.5734
angles: 90.00 93.02 90.00
Space group P2/m (No. 10)
Unique sites:
Fe (0.0000, 0.0000, 0.0000) x1
Fe (0.0781, 0.0000, 0.2882) x2
Fe (0.2986, 0.0000, 0.8312) x2
Ni (0.4450, 0.0000, 0.3642) x2
Pd (0.2070, 0.5000, 0.5589) x2
Pd (0.3378, 0.5000, 0.1043) x2